[1]
Calculated powder X-ray diffraction pattern
Compound: Mg14CdFeO16
Radiation: Cu Kα
Structure: the GGA+U geometry in the Materials Project
Lines closer than 0.1° are merged.

Structure:
abc: 8.6127 8.6127 4.3112
angles: 90.00 90.00 90.00
Positions (direct):
Mg1 0.0000 0.2496 0.0000
Mg2 0.0000 0.5000 0.5000
Mg3 0.0000 0.7504 0.0000
Mg4 0.2448 0.5000 0.0000
Mg5 0.2482 0.2482 0.5000
Mg6 0.2482 0.7518 0.5000
Mg7 0.2496 0.0000 0.0000
Mg8 0.5000 0.0000 0.5000
Mg9 0.5000 0.2448 0.0000
Mg10 0.5000 0.7552 0.0000
Mg11 0.7504 0.0000 0.0000
Mg12 0.7518 0.2482 0.5000
Mg13 0.7518 0.7518 0.5000
Mg14 0.7552 0.5000 0.0000
Cd1 0.5000 0.5000 0.5000
Fe1 0.0000 0.0000 0.5000
O1 0.0000 0.0000 0.0000
O2 0.0000 0.2518 0.5000
O3 0.0000 0.5000 0.0000
O4 0.0000 0.7482 0.5000
O5 0.2350 0.5000 0.5000
O6 0.2504 0.2504 0.0000
O7 0.2504 0.7496 0.0000
O8 0.2518 0.0000 0.5000
O9 0.5000 0.0000 0.0000
O10 0.5000 0.2350 0.5000
O11 0.5000 0.5000 0.0000
O12 0.5000 0.7650 0.5000
O13 0.7482 0.0000 0.5000
O14 0.7496 0.2504 0.0000
O15 0.7496 0.7496 0.0000
O16 0.7650 0.5000 0.5000

The 6 most intense peaks (2θ = 15–90°), low angle first:
- 2θ = 20.62°, I 16
- 2θ = 29.32°, I 13
- 2θ = 36.11°, I 24
- 2θ = 41.94°, I 100
- 2θ = 60.82°, I 57
- 2θ = 76.62°, I 17

[2]
Calculated powder X-ray diffraction pattern
Compound: LiCoO2
Radiation: Cu Kα
Structure: the GGA+U geometry in the Materials Project
Lines closer than 0.1° are merged.

Structure:
abc: 2.9386 2.9386 9.8599
angles: 90.00 90.00 120.00
Positions (direct):
Li1 0.3333 0.6667 0.0000
Li2 0.6667 0.3333 0.5000
Co1 0.3333 0.6667 0.7423
Co2 0.6667 0.3333 0.2423
O1 0.0000 0.0000 0.1286
O2 0.0000 0.0000 0.6286
O3 0.3333 0.6667 0.3552
O4 0.6667 0.3333 0.8552

The 6 most intense peaks (2θ = 15–90°), low angle first:
- 2θ = 17.99°, I 100
- 2θ = 36.46°, I 53
- 2θ = 39.86°, I 26
- 2θ = 45.06°, I 55
- 2θ = 59.28°, I 23
- 2θ = 63.30°, I 20

[3]
Calculated powder X-ray diffraction pattern
Compound: Li9Mn2Co5O16
Radiation: Cu Kα
Structure: the GGA+U geometry in the Materials Project
Lines closer than 0.1° are merged.

Structure:
abc: 5.9220 5.9220 10.3175
angles: 108.34 108.34 58.11
Positions (direct):
Li1 0.0000 0.0000 0.0000
Li2 0.2414 0.2414 0.2370
Li3 0.2438 0.7531 0.2332
Li4 0.2469 0.7562 0.7668
Li5 0.2528 0.2528 0.7653
Li6 0.7472 0.7472 0.2347
Li7 0.7531 0.2438 0.2332
Li8 0.7562 0.2469 0.7668
Li9 0.7586 0.7586 0.7630
Mn1 0.0000 0.0000 0.5000
Mn2 0.5000 0.5000 0.5000
Co1 0.0000 0.5000 0.0000
Co2 0.0000 0.5000 0.5000
Co3 0.5000 0.0000 0.0000
Co4 0.5000 0.0000 0.5000
Co5 0.5000 0.5000 0.0000
O1 0.1372 0.1372 0.8851
O2 0.1417 0.6369 0.3853
O3 0.1448 0.1448 0.3871
O4 0.1479 0.6127 0.8876
O5 0.3631 0.8583 0.6147
O6 0.3749 0.3749 0.6032
O7 0.3844 0.3844 0.1128
O8 0.3873 0.8521 0.1124
O9 0.6127 0.1479 0.8876
O10 0.6156 0.6156 0.8872
O11 0.6251 0.6251 0.3968
O12 0.6369 0.1417 0.3853
O13 0.8521 0.3873 0.1124
O14 0.8552 0.8552 0.6129
O15 0.8583 0.3631 0.6147
O16 0.8628 0.8628 0.1149

The 6 most intense peaks (2θ = 15–90°), low angle first:
- 2θ = 18.43°, I 100
- 2θ = 35.07°, I 16
- 2θ = 36.36°, I 25
- 2θ = 42.42°, I 29
- 2θ = 44.18°, I 51
- 2θ = 62.82°, I 15

[4]
Calculated powder X-ray diffraction pattern
Compound: ZnMoO6
Radiation: Cu Kα
Structure: the GGA+U geometry in the Materials Project
Lines closer than 0.1° are merged.

Structure:
abc: 6.2972 10.3338 8.5688
angles: 90.00 90.32 90.00
Positions (direct):
Zn1 0.0078 0.0000 0.4299
Zn2 0.0393 0.4964 0.9340
Zn3 0.9607 0.9964 0.0660
Zn4 0.9922 0.5000 0.5701
Mo1 0.1814 0.2059 0.7535
Mo2 0.1858 0.2824 0.2564
Mo3 0.8142 0.7824 0.7436
Mo4 0.8186 0.7059 0.2465
O1 0.0484 0.1079 0.8958
O2 0.0557 0.1176 0.2430
O3 0.0655 0.3887 0.3961
O4 0.0819 0.3784 0.7465
O5 0.1366 0.1373 0.5629
O6 0.1639 0.3574 0.0671
O7 0.4011 0.9487 0.0588
O8 0.4309 0.5283 0.5467
O9 0.4345 0.9441 0.4289
O10 0.4526 0.2019 0.7872
O11 0.4541 0.2670 0.2972
O12 0.4698 0.5376 0.9280
O13 0.5302 0.0376 0.0720
O14 0.5459 0.7670 0.7028
O15 0.5474 0.7019 0.2128
O16 0.5655 0.4441 0.5711
O17 0.5691 0.0283 0.4533
O18 0.5989 0.4487 0.9412
O19 0.8361 0.8574 0.9329
O20 0.8634 0.6373 0.4371
O21 0.9181 0.8784 0.2535
O22 0.9345 0.8887 0.6039
O23 0.9443 0.6176 0.7570
O24 0.9516 0.6079 0.1042

The 6 most intense peaks (2θ = 15–90°), low angle first:
- 2θ = 16.49°, I 100
- 2θ = 26.54°, I 22
- 2θ = 26.67°, I 21
- 2θ = 27.04°, I 70
- 2θ = 27.92°, I 30
- 2θ = 33.32°, I 27

[5]
Calculated powder X-ray diffraction pattern
Compound: MgV3O6
Radiation: Cu Kα
Structure: the GGA+U geometry in the Materials Project
Lines closer than 0.1° are merged.

Structure:
abc: 5.1390 5.2800 5.2874
angles: 113.88 105.40 105.66
Positions (direct):
Mg1 0.0000 0.0000 0.0000
V1 0.3487 0.5424 0.5374
V2 0.8241 0.6605 0.3092
V3 0.8298 0.3146 0.6634
O1 0.0620 0.1302 0.4434
O2 0.0617 0.4409 0.1228
O3 0.1140 0.7150 0.7105
O4 0.5500 0.3135 0.3165
O5 0.6422 0.8888 0.5895
O6 0.6489 0.5915 0.8931

The 6 most intense peaks (2θ = 15–90°), low angle first:
- 2θ = 19.83°, I 42
- 2θ = 20.33°, I 100
- 2θ = 28.29°, I 36
- 2θ = 38.57°, I 46
- 2θ = 45.05°, I 47
- 2θ = 45.24°, I 49

[6]
Calculated powder X-ray diffraction pattern
Compound: Ba2La2NiW2O12
Radiation: Cu Kα
Structure: the GGA+U geometry in the Materials Project
Lines closer than 0.1° are merged.

Structure:
abc: 9.8509 9.8509 9.8509
angles: 33.78 33.78 33.78
Positions (direct):
Ba1 0.1338 0.1338 0.1338
Ba2 0.8662 0.8662 0.8662
La1 0.2930 0.2930 0.2930
La2 0.7070 0.7070 0.7070
Ni1 0.0000 0.0000 0.0000
W1 0.4172 0.4172 0.4172
W2 0.5828 0.5828 0.5828
O1 0.1167 0.6170 0.6170
O2 0.2155 0.2155 0.6821
O3 0.2155 0.6821 0.2155
O4 0.3179 0.7845 0.7845
O5 0.3830 0.3830 0.8833
O6 0.3830 0.8833 0.3830
O7 0.6170 0.1167 0.6170
O8 0.6170 0.6170 0.1167
O9 0.6821 0.2155 0.2155
O10 0.7845 0.3179 0.7845
O11 0.7845 0.7845 0.3179
O12 0.8833 0.3830 0.3830

The 6 most intense peaks (2θ = 15–90°), low angle first:
- 2θ = 28.78°, I 100
- 2θ = 31.25°, I 93
- 2θ = 43.00°, I 49
- 2θ = 54.11°, I 36
- 2θ = 55.62°, I 19
- 2θ = 65.20°, I 17

[7]
Calculated powder X-ray diffraction pattern
Compound: Li5Fe3O2F10
Radiation: Cu Kα
Structure: the GGA+U geometry in the Materials Project
Lines closer than 0.1° are merged.

Structure:
abc: 5.1506 5.5636 8.9404
angles: 105.87 90.21 117.43
Positions (direct):
Li1 0.0000 0.0000 0.0000
Li2 0.0812 0.1515 0.3647
Li3 0.5730 0.0475 0.5189
Li4 0.6600 0.1872 0.8588
Li5 0.7888 0.5380 0.2734
Fe1 0.3033 0.5653 0.7655
Fe2 0.3359 0.6311 0.1283
Fe3 0.8391 0.6440 0.6236
O1 0.7199 0.8265 0.8003
O2 0.8923 0.3886 0.7176
F1 0.2686 0.8511 0.3117
F2 0.2829 0.8698 0.6647
F3 0.2939 0.8365 0.9866
F4 0.3474 0.3631 0.9181
F5 0.3491 0.3581 0.2190
F6 0.3828 0.3510 0.5638
F7 0.7647 0.8402 0.1621
F8 0.7964 0.8360 0.4713
F9 0.8482 0.3610 0.4161
F10 0.9092 0.3694 0.0733

The 6 most intense peaks (2θ = 15–90°), low angle first:
- 2θ = 18.90°, I 97
- 2θ = 20.87°, I 93
- 2θ = 23.65°, I 39
- 2θ = 39.81°, I 54
- 2θ = 39.94°, I 100
- 2θ = 62.32°, I 29